No. 1
# NdY8Tm3
Theoretical powder diffractogram, Cu Kα, 1.54184 Å. Input: DFT lattice parameters and positions (PBE).
Kinematic intensities with the Lorentz-polarization factor, no thermal factor.

Peak list (6 most intense, 10 to 90 degrees two-theta, sorted by position)
| 2theta | I_rel |
| --- | --- |
| 30.7 | 100.0 |
| 31.0 | 32.5 |
| 35.7 | 66.6 |
| 51.2 | 23.5 |
| 51.6 | 23.0 |
| 61.0 | 27.5 |

Atomic structure:
Cell: 6.1708 7.0901 9.4406 Å, 78.71 77.20 73.56°
Space group P-1 (No. 2)
One atom of each set of equivalent atoms:
Nd 0.0000 0.0000 0.0000 (multiplicity 1)
Y 0.0009 0.3346 0.6657 (multiplicity 2)
Y 0.0018 0.8328 0.6658 (multiplicity 2)
Y 0.4987 0.1688 0.8316 (multiplicity 2)
Y 0.5003 0.3332 0.1682 (multiplicity 2)
Tm 0.0000 0.5000 0.0000 (multiplicity 1)
Tm 0.5000 0.0000 0.5000 (multiplicity 1)
Tm 0.5000 0.5000 0.5000 (multiplicity 1)



No. 2
# NdY2Tm12
Theoretical powder diffractogram, Cu Kα, 1.54184 Å. Input: DFT lattice parameters and positions (PBE).
Kinematic intensities with the Lorentz-polarization factor, no thermal factor.

Peak list (6 most intense, 10 to 90 degrees two-theta, sorted by position)
| 2theta | I_rel |
| --- | --- |
| 31.4 | 82.4 |
| 32.1 | 100.0 |
| 32.7 | 87.7 |
| 37.8 | 17.8 |
| 63.0 | 21.8 |
| 63.4 | 15.1 |

Atomic structure:
Cell: 3.4768 5.4733 24.5050 Å, 83.76 86.01 89.99°
Space group P-1 (No. 2)
One atom of each set of equivalent atoms:
Nd 0.0000 0.0000 0.0000 (multiplicity 1)
Y 0.3573 0.8604 0.2760 (multiplicity 2)
Tm 0.0959 0.5949 0.8068 (multiplicity 2)
Tm 0.1717 0.6677 0.6669 (multiplicity 2)
Tm 0.2053 0.2018 0.5969 (multiplicity 2)
Tm 0.2678 0.2708 0.4588 (multiplicity 2)
Tm 0.4331 0.9335 0.1363 (multiplicity 2)
Tm 0.4660 0.4673 0.0674 (multiplicity 2)



No. 3
# NdY2Tm7
Theoretical powder diffractogram, Cu Kα, 1.54184 Å. Input: DFT lattice parameters and positions (PBE).
Kinematic intensities with the Lorentz-polarization factor, no thermal factor.

Peak list (6 most intense, 10 to 90 degrees two-theta, sorted by position)
| 2theta | I_rel |
| --- | --- |
| 31.1 | 100.0 |
| 36.1 | 50.5 |
| 51.9 | 17.9 |
| 52.0 | 18.0 |
| 61.8 | 31.8 |
| 84.9 | 8.8 |

Atomic structure:
Cell: 6.0977 7.0539 7.8682 Å, 77.14 75.03 73.28°
Space group P-1 (No. 2)
One atom of each set of equivalent atoms:
Nd 0.0000 0.0000 0.0000 (multiplicity 1)
Y 0.2017 0.2999 0.5996 (multiplicity 2)
Tm 0.0000 0.5000 0.0000 (multiplicity 1)
Tm 0.2008 0.7994 0.6002 (multiplicity 2)
Tm 0.3984 0.1009 0.1993 (multiplicity 2)
Tm 0.4007 0.5992 0.1999 (multiplicity 2)



No. 4
# Nd3Y6Tm2
Theoretical powder diffractogram, Cu Kα, 1.54184 Å. Input: DFT lattice parameters and positions (PBE).
Kinematic intensities with the Lorentz-polarization factor, no thermal factor.

Peak list (6 most intense, 10 to 90 degrees two-theta, sorted by position)
| 2theta | I_rel |
| --- | --- |
| 30.5 | 100.0 |
| 30.7 | 32.2 |
| 35.4 | 66.4 |
| 50.9 | 23.7 |
| 51.1 | 22.5 |
| 60.6 | 27.3 |

Atomic structure:
Cell: 3.5911 3.5911 96.1397 Å, 90.00 90.00 120.00°
Space group R-3m (No. 166, hexagonal axes)
One atom of each set of equivalent atoms:
Nd 0.0000 0.0000 0.0000 (multiplicity 3)
Nd 0.0000 0.0000 0.2720 (multiplicity 6)
Y 0.0000 0.0000 0.0922 (multiplicity 6)
Y 0.0000 0.0000 0.1818 (multiplicity 6)
Y 0.0000 0.0000 0.3640 (multiplicity 6)
Tm 0.0000 0.0000 0.4552 (multiplicity 6)



No. 5
# Nd12YTm2
Theoretical powder diffractogram, Cu Kα, 1.54184 Å. Input: DFT lattice parameters and positions (PBE).
Kinematic intensities with the Lorentz-polarization factor, no thermal factor.

Peak list (6 most intense, 10 to 90 degrees two-theta, sorted by position)
| 2theta | I_rel |
| --- | --- |
| 28.6 | 27.8 |
| 29.3 | 44.4 |
| 30.1 | 82.6 |
| 30.7 | 69.4 |
| 32.5 | 100.0 |
| 36.4 | 29.9 |

Atomic structure:
Cell: 7.1981 11.6417 25.0170 Å, 90.00 90.00 90.00°
Space group Cmme (No. 67)
One atom of each set of equivalent atoms:
Nd 0.0000 0.0017 0.0742 (multiplicity 8)
Nd 0.0000 0.0234 0.5603 (multiplicity 8)
Nd 0.2314 0.2500 0.4137 (multiplicity 8)
Nd 0.2489 0.2500 0.8686 (multiplicity 8)
Nd 0.2500 0.0000 0.1988 (multiplicity 8)
Nd 0.2500 0.0000 0.3241 (multiplicity 8)
Y 0.0000 0.2500 0.9992 (multiplicity 4)
Tm 0.0000 0.2500 0.2671 (multiplicity 4)
Tm 0.0000 0.2500 0.7296 (multiplicity 4)



No. 6
# Nd4Y4Tm
Theoretical powder diffractogram, Cu Kα, 1.54184 Å. Input: DFT lattice parameters and positions (PBE).
Kinematic intensities with the Lorentz-polarization factor, no thermal factor.

Peak list (6 most intense, 10 to 90 degrees two-theta, sorted by position)
| 2theta | I_rel |
| --- | --- |
| 30.3 | 100.0 |
| 30.4 | 33.1 |
| 35.1 | 45.0 |
| 35.3 | 22.1 |
| 50.5 | 15.8 |
| 60.0 | 23.5 |

Atomic structure:
Cell: 5.1187 6.2286 10.8385 Å, 73.43 89.93 65.80°
Space group P-1 (No. 2)
One atom of each set of equivalent atoms:
Nd 0.0006 0.4989 0.1685 (multiplicity 2)
Nd 0.3332 0.8339 0.6103 (multiplicity 2)
Y 0.3333 0.8333 0.2777 (multiplicity 2)
Y 0.3343 0.8316 0.9454 (multiplicity 2)
Tm 0.0000 0.5000 0.5000 (multiplicity 1)



No. 7
# Nd11Y4Tm9
Theoretical powder diffractogram, Cu Kα, 1.54184 Å. Input: DFT lattice parameters and positions (PBE).
Kinematic intensities with the Lorentz-polarization factor, no thermal factor.

Peak list (6 most intense, 10 to 90 degrees two-theta, sorted by position)
| 2theta | I_rel |
| --- | --- |
| 29.7 | 100.0 |
| 30.1 | 28.1 |
| 31.0 | 29.0 |
| 32.2 | 77.7 |
| 32.4 | 79.3 |
| 59.2 | 28.5 |

Atomic structure:
Cell: 16.9273 25.7031 3.6528 Å, 90.00 90.00 90.00°
Space group Cmmm (No. 65)
One atom of each set of equivalent atoms:
Nd 0.0000 0.0000 0.0000 (multiplicity 2)
Nd 0.0000 0.1608 0.0000 (multiplicity 4)
Nd 0.0000 0.3679 0.0000 (multiplicity 4)
Nd 0.2098 0.5000 0.0000 (multiplicity 4)
Nd 0.2222 0.1816 0.0000 (multiplicity 8)
Y 0.1576 0.3984 0.5000 (multiplicity 8)
Tm 0.0000 0.5000 0.5000 (multiplicity 2)
Tm 0.1017 0.2679 0.5000 (multiplicity 8)
Tm 0.1399 0.0730 0.5000 (multiplicity 8)



No. 8
# Nd5YTm5
Theoretical powder diffractogram, Cu Kα, 1.54184 Å. Input: DFT lattice parameters and positions (PBE).
Kinematic intensities with the Lorentz-polarization factor, no thermal factor.

Peak list (6 most intense, 10 to 90 degrees two-theta, sorted by position)
| 2theta | I_rel |
| --- | --- |
| 28.3 | 100.0 |
| 29.4 | 86.5 |
| 33.1 | 40.7 |
| 34.8 | 44.5 |
| 34.9 | 50.7 |
| 37.4 | 51.2 |

Atomic structure:
Cell: 6.0802 6.0802 11.8311 Å, 90.00 90.00 120.00°
Space group P-6m2 (No. 187)
One atom of each set of equivalent atoms:
Nd 0.0000 0.0000 0.0000 (multiplicity 1)
Nd 0.3333 0.6667 0.3150 (multiplicity 2)
Nd 0.6667 0.3333 0.1527 (multiplicity 2)
Y 0.3333 0.6667 0.0000 (multiplicity 1)
Tm 0.0000 0.0000 0.2662 (multiplicity 2)
Tm 0.3325 0.1662 0.5000 (multiplicity 3)



No. 9
# Nd4YTm4
Theoretical powder diffractogram, Cu Kα, 1.54184 Å. Input: DFT lattice parameters and positions (PBE).
Kinematic intensities with the Lorentz-polarization factor, no thermal factor.

Peak list (6 most intense, 10 to 90 degrees two-theta, sorted by position)
| 2theta | I_rel |
| --- | --- |
| 30.6 | 100.0 |
| 35.4 | 33.8 |
| 35.5 | 16.8 |
| 51.0 | 36.0 |
| 60.6 | 28.5 |
| 60.7 | 14.2 |

Atomic structure:
Cell: 10.7597 10.7597 5.0579 Å, 90.00 90.00 90.00°
Space group I4/mmm (No. 139)
One atom of each set of equivalent atoms:
Nd 0.1675 0.1675 0.0000 (multiplicity 8)
Y 0.0000 0.0000 0.5000 (multiplicity 2)
Tm 0.0000 0.3361 0.5000 (multiplicity 8)



No. 10
# Nd3Y2Tm3
Theoretical powder diffractogram, Cu Kα, 1.54184 Å. Input: DFT lattice parameters and positions (PBE).
Kinematic intensities with the Lorentz-polarization factor, no thermal factor.

Peak list (6 most intense, 10 to 90 degrees two-theta, sorted by position)
| 2theta | I_rel |
| --- | --- |
| 30.6 | 100.0 |
| 35.3 | 33.9 |
| 35.6 | 16.8 |
| 51.1 | 23.9 |
| 60.5 | 28.5 |
| 60.9 | 14.0 |

Atomic structure:
Cell: 5.0396 5.0810 20.3159 Å, 90.00 90.00 90.00°
Space group Immm (No. 71)
One atom of each set of equivalent atoms:
Nd 0.0000 0.0000 0.0000 (multiplicity 2)
Nd 0.0000 0.5000 0.1237 (multiplicity 4)
Y 0.0000 0.0000 0.2492 (multiplicity 4)
Tm 0.0000 0.0000 0.5000 (multiplicity 2)
Tm 0.0000 0.5000 0.3745 (multiplicity 4)



No. 11
# Nd3Y5Tm
Theoretical powder diffractogram, Cu Kα, 1.54184 Å. Input: DFT lattice parameters and positions (PBE).
Kinematic intensities with the Lorentz-polarization factor, no thermal factor.

Peak list (6 most intense, 10 to 90 degrees two-theta, sorted by position)
| 2theta | I_rel |
| --- | --- |
| 30.5 | 15.3 |
| 31.1 | 100.0 |
| 31.5 | 97.8 |
| 44.8 | 32.3 |
| 55.8 | 30.5 |
| 61.6 | 29.6 |

Atomic structure:
Cell: 9.8326 9.8326 7.1033 Å, 90.00 90.00 120.00°
Space group P6_3/mcm (No. 193)
One atom of each set of equivalent atoms:
Nd 0.0000 0.3619 0.2500 (multiplicity 6)
Y 0.0000 0.3025 0.7500 (multiplicity 6)
Y 0.3333 0.6667 0.0000 (multiplicity 4)
Tm 0.0000 0.0000 0.0000 (multiplicity 2)



No. 12
# Nd9Y2Tm3
Theoretical powder diffractogram, Cu Kα, 1.54184 Å. Input: DFT lattice parameters and positions (PBE).
Kinematic intensities with the Lorentz-polarization factor, no thermal factor.

Peak list (6 most intense, 10 to 90 degrees two-theta, sorted by position)
| 2theta | I_rel |
| --- | --- |
| 25.3 | 32.3 |
| 29.7 | 40.1 |
| 30.9 | 69.9 |
| 32.8 | 100.0 |
| 35.9 | 31.2 |
| 53.6 | 29.6 |

Atomic structure:
Cell: 9.0426 9.0426 14.0902 Å, 90.00 90.00 120.00°
Space group P6_3/m (No. 176)
One atom of each set of equivalent atoms:
Nd 0.0804 0.4816 0.2500 (multiplicity 6)
Nd 0.1326 0.7266 0.0426 (multiplicity 12)
Y 0.3333 0.6667 0.6424 (multiplicity 4)
Tm 0.0756 0.2486 0.7500 (multiplicity 6)